(1)
This entry pairs a crystal structure of Li2Pa2Se7 with its calculated powder X-ray diffraction pattern. Radiation: Cu Kα. Structure: DFT lattice parameters and positions (GGA-PBE).
Neutral-atom scattering factors, no anomalous dispersion.

Crystal structure
a = 7.303 Å, b = 7.303 Å, c = 8.275 Å
α = 100.95°, β = 100.95°, γ = 119.49°
Positions (direct):
1 Li 0.149 0.149 0.274
2 Li 0.851 0.851 0.726
3 Pa 0.327 0.673 0.000
4 Pa 0.673 0.327 0.000
5 Se 0.000 0.000 0.500
6 Se 0.090 0.457 0.203
7 Se 0.288 0.288 0.803
8 Se 0.457 0.090 0.203
9 Se 0.543 0.910 0.797
10 Se 0.712 0.712 0.197
11 Se 0.910 0.543 0.797

Principal peaks in the range 10° ≤ 2θ ≤ 90°, by angle:
| two_theta | I_rel |
| --- | --- |
| 11.55 | 1000 |
| 15.45 | 427 |
| 18.21 | 337 |
| 24.88 | 391 |
| 27.71 | 411 |
| 29.56 | 551 |
| 37.63 | 296 |
| 42.78 | 254 |
| 43.58 | 230 |
| 49.30 | 201 |

(2)
This entry pairs a crystal structure of Cs3Hg5 with its calculated powder X-ray diffraction pattern. Radiation: Cu Kα. Structure: DFT lattice parameters and positions (GGA-PBE).
Neutral-atom scattering factors, no anomalous dispersion.

Crystal structure
a = 14.739 Å, b = 12.367 Å, c = 7.804 Å
α = 90.00°, β = 90.00°, γ = 90.00°
Positions (direct):
1 Cs 0.078 0.250 0.147
2 Cs 0.152 0.504 0.609
3 Cs 0.152 0.996 0.609
4 Cs 0.348 0.004 0.109
5 Cs 0.348 0.496 0.109
6 Cs 0.422 0.750 0.647
7 Cs 0.578 0.250 0.353
8 Cs 0.652 0.504 0.891
9 Cs 0.652 0.996 0.891
10 Cs 0.848 0.004 0.391
11 Cs 0.848 0.496 0.391
12 Cs 0.922 0.750 0.853
13 Hg 0.006 0.750 0.362
14 Hg 0.079 0.561 0.113
15 Hg 0.079 0.939 0.113
16 Hg 0.195 0.750 0.917
17 Hg 0.230 0.750 0.319
18 Hg 0.270 0.250 0.819
19 Hg 0.305 0.250 0.417
20 Hg 0.421 0.061 0.613
21 Hg 0.421 0.439 0.613
22 Hg 0.494 0.250 0.862
23 Hg 0.506 0.750 0.138
24 Hg 0.579 0.561 0.387
25 Hg 0.579 0.939 0.387
26 Hg 0.695 0.750 0.583
27 Hg 0.730 0.750 0.181
28 Hg 0.770 0.250 0.681
29 Hg 0.805 0.250 0.083
30 Hg 0.921 0.061 0.887
31 Hg 0.921 0.439 0.887
32 Hg 0.994 0.250 0.638

Principal peaks in the range 10° ≤ 2θ ≤ 90°, by angle:
| two_theta | I_rel |
| --- | --- |
| 13.42 | 281 |
| 25.82 | 540 |
| 26.76 | 287 |
| 27.71 | 1000 |
| 28.19 | 476 |
| 28.88 | 498 |
| 29.23 | 602 |
| 30.53 | 280 |
| 32.16 | 774 |
| 32.59 | 363 |

(3)
This entry pairs a crystal structure of Ca2Tl3 with its calculated powder X-ray diffraction pattern. Radiation: Cu Kα. Structure: DFT lattice parameters and positions (GGA-PBE).
Neutral-atom scattering factors, no anomalous dispersion.

Crystal structure
a = 6.491 Å, b = 6.491 Å, c = 7.690 Å
α = 90.00°, β = 90.00°, γ = 98.25°
Positions (direct):
1 Ca 0.126 0.350 0.000
2 Ca 0.350 0.126 0.500
3 Ca 0.650 0.874 0.000
4 Ca 0.874 0.650 0.500
5 Tl 0.131 0.869 0.918
6 Tl 0.316 0.684 0.286
7 Tl 0.376 0.624 0.672
8 Tl 0.624 0.376 0.172
9 Tl 0.684 0.316 0.786
10 Tl 0.869 0.131 0.418

Principal peaks in the range 10° ≤ 2θ ≤ 90°, by angle:
| two_theta | I_rel |
| --- | --- |
| 20.91 | 1000 |
| 21.48 | 357 |
| 27.03 | 752 |
| 30.16 | 956 |
| 31.53 | 360 |
| 37.62 | 482 |
| 37.79 | 486 |
| 42.56 | 430 |
| 48.81 | 251 |
| 62.02 | 240 |